Structure and calculated powder diffractogram of AcNpMn2O8 (DFT lattice parameters and positions (PBE+U); Cu Kα (λ = 1.5418 Å)).
Peak positions follow from Bragg's law for the DFT cell and can differ from measured ones.

The 10 most intense peaks (10 to 90 degrees two-theta), in order of rising 2θ:
- 18.34 deg, I 50
- 28.28 deg, I 100
- 30.87 deg, I 19
- 33.68 deg, I 22
- 38.62 deg, I 18
- 44.72 deg, I 14
- 46.33 deg, I 28
- 48.37 deg, I 14
- 53.32 deg, I 18
- 56.98 deg, I 30

Structural model:
```
data_AcNpMn2O8
_chemical_formula_sum 'Ac1 Np1 Mn2 O8'
_cell_length_a 6.909
_cell_length_b 6.909
_cell_length_c 6.909
_cell_angle_alpha 134.69
_cell_angle_beta 134.69
_cell_angle_gamma 66.01
_space_group_name_H-M_alt 'P 1'
_space_group_IT_number 1
_space_group_name_Hall 'P 1'
loop_
_atom_site_label
_atom_site_fract_x
_atom_site_fract_y
_atom_site_fract_z
Ac1 0.000 0.000 0.000
Np1 0.250 0.750 0.500
Mn1 0.500 0.500 0.000
Mn2 0.750 0.250 0.500
O1 0.007 0.004 0.396
O2 0.279 0.679 0.114
O3 0.321 0.435 0.600
O4 0.389 0.993 0.998
O5 0.565 0.165 0.886
O6 0.609 0.611 0.604
O7 0.835 0.721 0.400
O8 0.996 0.391 0.002
```